The following is a theoretical PXRD pattern of AlH3O3. It was derived from DFT lattice parameters and positions (PBE), using Cu Kα (weighted mean of Kα1 and Kα2).
Lines closer than 0.1° are merged.

The 10 most intense peaks (10 to 90 degrees two-theta), in order of rising 2θ:
Position (°2θ), d (Å), Rel. int.
18.29, 4.852, 100.0
19.73, 4.501, 19.8
20.51, 4.331, 32.2
36.13, 2.486, 14.9
36.33, 2.473, 18.6
37.57, 2.394, 14.0
44.86, 2.020, 14.1
51.58, 1.772, 16.1
52.18, 1.753, 15.8
52.90, 1.731, 13.8

Cell and atoms:
Unit cell a=9.0020 b=4.9403 c=13.1522 alpha=90.00 beta=132.46 gamma=90.00
Space group P2_1/c (No. 14)
Unique sites:
Al  0.1609  0.0249  0.0001 (multiplicity 4)
Al  0.3358  0.5279  0.0002 (multiplicity 4)
H  0.0054  0.2257  0.7049 (multiplicity 4)
H  0.1279  0.6621  0.1047 (multiplicity 4)
H  0.2751  0.1014  0.8767 (multiplicity 4)
H  0.2999  0.6249  0.7950 (multiplicity 4)
H  0.3893  0.1604  0.7024 (multiplicity 4)
H  0.4937  0.0040  0.8885 (multiplicity 4)
O  0.0896  0.7111  0.8965 (multiplicity 4)
O  0.1122  0.6413  0.6076 (multiplicity 4)
O  0.1967  0.2136  0.8868 (multiplicity 4)
O  0.2783  0.1437  0.6008 (multiplicity 4)
O  0.4063  0.6487  0.8971 (multiplicity 4)
O  0.4297  0.6447  0.6125 (multiplicity 4)